Computed PXRD pattern of Tb4Nd2Sc3 for Cu Kα X-rays, from a cell relaxed with PBE.
No peak broadening, texture or thermal motion is included.

Top 12 peaks for 15 to 90 degrees two-theta, most intense first:
- 33.30 deg, I 100
- 33.37 deg, I 49
- 32.27 deg, I 36
- 29.04 deg, I 36
- 51.48 deg, I 31
- 17.50 deg, I 19
- 19.81 deg, I 18
- 62.16 deg, I 16
- 61.99 deg, I 16
- 58.25 deg, I 15
- 43.92 deg, I 15
- 85.39 deg, I 13

Structural model:
```
data_Tb4Nd2Sc3
_symmetry_space_group_name_H-M 'P -1'
_symmetry_Int_Tables_number 2
_cell_length_a 6.149
_cell_length_b 9.019
_cell_length_c 10.896
_cell_angle_alpha 70.80
_cell_angle_beta 73.69
_cell_angle_gamma 89.84
loop_
_symmetry_equiv_pos_as_xyz
'x,y,z'
'-x,-y,-z'
loop_
_atom_site_label
_atom_site_type_symbol
_atom_site_fract_x
_atom_site_fract_y
_atom_site_fract_z
_atom_site_occupancy
Tb1 Tb 0.006 0.425 0.164 1
Tb2 Tb 0.119 0.366 0.609 1
Tb3 Tb 0.329 0.911 0.164 1
Tb4 Tb 0.454 0.697 0.943 1
Nd1 Nd 0.209 0.968 0.727 1
Nd2 Nd 0.338 0.756 0.500 1
Sc1 Sc 0.118 0.194 0.940 1
Sc2 Sc 0.217 0.145 0.389 1
Sc3 Sc 0.449 0.526 0.273 1
```